(1)
Diffraction record for Sc3AlNi8. The PXRD pattern is theoretical, not measured: it uses a GGA-PBE-relaxed structure and copper Kα.

Structural model:
```
data_Sc3AlNi8
_cell_length_a 4.8360
_cell_length_b 4.8360
_cell_length_c 23.7711
_cell_angle_alpha 90.00
_cell_angle_beta 90.00
_cell_angle_gamma 120.00
_symmetry_space_group_name_H-M 'R 3 m'
_symmetry_Int_Tables_number 160
_symmetry_space_group_name_Hall 'R 3 -2"'
loop_
_atom_site_label
_atom_site_type_symbol
_atom_site_fract_x
_atom_site_fract_y
_atom_site_fract_z
_atom_site_occupancy
Sc1 Sc 0.0000 0.0000 0.0000 1
Sc2 Sc 0.0000 0.0000 0.1275 1
Sc3 Sc 0.0000 0.0000 0.6189 1
Al1 Al 0.0000 0.0000 0.4959 1
Ni1 Ni 0.0000 0.0000 0.3119 1
Ni2 Ni 0.0000 0.0000 0.8119 1
Ni3 Ni 0.0008 0.5004 0.5609 1
Ni4 Ni 0.0016 0.5008 0.0623 1
```

Top 8 peaks for 10 to 80 degrees two-theta, low angle first:
- 22.5 deg, intensity 41
- 37.1 deg, intensity 20
- 43.8 deg, intensity 100
- 43.9 deg, intensity 34
- 45.8 deg, intensity 19
- 46.0 deg, intensity 57
- 53.5 deg, intensity 17
- 71.6 deg, intensity 20



(2)
Diffraction record for CaTlSnHIr. The PXRD pattern is theoretical, not measured: it uses a GGA-PBE-relaxed structure and copper Kα.

Structural model:
```
data_CaTlSnHIr
_cell_length_a 7.9328
_cell_length_b 4.6007
_cell_length_c 6.2846
_cell_angle_alpha 90.00
_cell_angle_beta 115.13
_cell_angle_gamma 90.00
_symmetry_space_group_name_H-M 'C 1 m 1'
_symmetry_Int_Tables_number 8
loop_
_symmetry_equiv_pos_as_xyz
'x,y,z'
'x,-y,z'
'x+1/2,y+1/2,z'
'x+1/2,-y+1/2,z'
loop_
_atom_site_label
_atom_site_type_symbol
_atom_site_fract_x
_atom_site_fract_y
_atom_site_fract_z
_atom_site_occupancy
Ca1 Ca 0.0000 0.0000 0.0000 1
Tl1 Tl 0.2176 0.0000 0.6519 1
Sn1 Sn 0.4514 0.0000 0.3520 1
H1 H 0.1795 0.5000 0.0327 1
Ir1 Ir 0.2747 0.5000 0.3202 1
```

Top 8 peaks for 10 to 80 degrees two-theta, low angle first:
- 15.6 deg, intensity 61
- 24.7 deg, intensity 36
- 30.7 deg, intensity 100
- 34.6 deg, intensity 35
- 39.2 deg, intensity 32
- 39.3 deg, intensity 64
- 43.5 deg, intensity 22
- 63.6 deg, intensity 30



(3)
Diffraction record for Li3B8C8. The PXRD pattern is theoretical, not measured: it uses a GGA-PBE-relaxed structure and copper Kα.

Structural model:
```
data_Li3B8C8
_cell_length_a 4.6939
_cell_length_b 5.3654
_cell_length_c 7.7933
_cell_angle_alpha 70.34
_cell_angle_beta 89.56
_cell_angle_gamma 89.11
_symmetry_space_group_name_H-M 'P 1'
_symmetry_Int_Tables_number 1
loop_
_symmetry_equiv_pos_as_xyz
'x,y,z'
loop_
_atom_site_label
_atom_site_type_symbol
_atom_site_fract_x
_atom_site_fract_y
_atom_site_fract_z
_atom_site_occupancy
Li1 Li 0.0000 0.0000 0.0000 1
Li2 Li 0.0006 0.7278 0.4990 1
Li3 Li 0.4981 0.0171 0.4988 1
B1 B 0.1645 0.8817 0.7429 1
B2 B 0.1673 0.3789 0.7481 1
B3 B 0.3340 0.3730 0.2444 1
B4 B 0.3392 0.8673 0.2506 1
B5 B 0.6645 0.1313 0.7484 1
B6 B 0.6644 0.6270 0.7512 1
B7 B 0.8350 0.6157 0.2512 1
B8 B 0.8366 0.1191 0.2554 1
C1 C 0.1651 0.6286 0.2459 1
C2 C 0.1681 0.1227 0.2532 1
C3 C 0.3345 0.1223 0.7477 1
C4 C 0.3347 0.6278 0.7387 1
C5 C 0.6639 0.3737 0.2533 1
C6 C 0.6709 0.8725 0.2573 1
C7 C 0.8333 0.8747 0.7450 1
C8 C 0.8371 0.3719 0.7508 1
```

Top 8 peaks for 10 to 80 degrees two-theta, low angle first:
- 24.3 deg, intensity 100
- 38.4 deg, intensity 7
- 38.9 deg, intensity 4
- 45.8 deg, intensity 9
- 46.2 deg, intensity 5
- 46.6 deg, intensity 5
- 49.7 deg, intensity 11
- 70.1 deg, intensity 7